# AlFe4Pt
Theoretical XRD peak list, copper Kα. Input: a cell relaxed with GGA-PBE.
No peak broadening, texture or thermal motion is included.

Most intense lines, 2θ = 5–70°, sorted by position:
2θ (°), I/Imax
10.3, 87.0
30.1, 19.1
31.1, 9.9
31.9, 15.8
36.7, 30.9
43.1, 55.0
43.8, 100.0
44.4, 11.2
54.1, 8.6
62.6, 17.4

Crystal structure
a = 2.9695 Å, b = 2.9695 Å, c = 8.6258 Å
α = 90.00°, β = 90.00°, γ = 90.00°
Fractional positions:
1 Al 0.0000 0.0000 0.0000
2 Fe 0.0000 0.0000 0.3112
3 Fe 0.0000 0.0000 0.6888
4 Fe 0.5000 0.5000 0.1656
5 Fe 0.5000 0.5000 0.8344
6 Pt 0.5000 0.5000 0.5000



# Ho6CdIn6
Theoretical XRD peak list, copper Kα. Input: a cell relaxed with GGA-PBE.
No peak broadening, texture or thermal motion is included.

Most intense lines, 2θ = 5–70°, sorted by position:
2θ (°), I/Imax
28.3, 59.4
30.3, 25.0
32.8, 37.1
33.1, 67.0
34.1, 33.3
37.1, 100.0
38.0, 18.3
58.5, 33.3
60.4, 31.0
69.5, 24.5

Crystal structure
a = 6.3102 Å, b = 6.3102 Å, c = 10.5129 Å
α = 90.00°, β = 90.00°, γ = 120.00°
Fractional positions:
1 Ho 0.0000 0.0000 0.1811
2 Ho 0.0000 0.0000 0.8189
3 Ho 0.3333 0.6667 0.0000
4 Ho 0.3333 0.6667 0.5000
5 Ho 0.6667 0.3333 0.0000
6 Ho 0.6667 0.3333 0.5000
7 Cd 0.0000 0.0000 0.5000
8 In 0.0000 0.5000 0.2502
9 In 0.0000 0.5000 0.7498
10 In 0.5000 0.0000 0.2502
11 In 0.5000 0.0000 0.7498
12 In 0.5000 0.5000 0.2502
13 In 0.5000 0.5000 0.7498



# Tc3Rh5
Theoretical XRD peak list, copper Kα. Input: a cell relaxed with GGA-PBE.
No peak broadening, texture or thermal motion is included.

Most intense lines, 2θ = 5–70°, sorted by position:
2θ (°), I/Imax
40.6, 100.0
46.7, 16.6
47.5, 31.6
68.8, 20.2
69.4, 9.8

Crystal structure
a = 5.4533 Å, b = 5.4533 Å, c = 3.8325 Å
α = 90.00°, β = 90.00°, γ = 90.92°
Fractional positions:
1 Tc 0.0000 0.0000 0.0000
2 Tc 0.2450 0.2450 0.5000
3 Tc 0.7550 0.7550 0.5000
4 Rh 0.0000 0.5000 0.0000
5 Rh 0.2475 0.7525 0.5000
6 Rh 0.5000 0.0000 0.0000
7 Rh 0.5000 0.5000 0.0000
8 Rh 0.7525 0.2475 0.5000